UCu2Cl8: simulated powder diffraction line list (Cu Ka), based on a GGA-PBE-relaxed structure.
Peak positions follow from Bragg's law for the DFT cell and can differ from measured ones.

Crystal structure
```
data_UCu2Cl8
_cell_length_a 19.769
_cell_length_b 7.478
_cell_length_c 13.401
_cell_angle_alpha 90.00
_cell_angle_beta 131.95
_cell_angle_gamma 90.00
_space_group_name_H-M_alt 'C 1 2/c 1'
_space_group_IT_number 15
loop_
_space_group_symop_operation_xyz
'x,y,z'
'-x,-y,-z'
'-x,y,-z+1/2'
'x,-y,z+1/2'
'x+1/2,y+1/2,z'
'-x+1/2,-y+1/2,-z'
'-x+1/2,y+1/2,-z+1/2'
'x+1/2,-y+1/2,z+1/2'
loop_
_atom_site_label
_atom_site_type_symbol
_atom_site_fract_x
_atom_site_fract_y
_atom_site_fract_z
U1 U 0.000 0.242 0.250
Cu1 Cu 0.135 0.010 0.754
Cl1 Cl 0.053 0.224 0.119
Cl2 Cl 0.114 0.473 0.404
Cl3 Cl 0.118 0.005 0.904
Cl4 Cl 0.203 0.209 0.740
```

The 10 most intense peaks (2θ from 15° to 90°), by angle:
17.8 deg, I 990
18.1 deg, I 1000
18.2 deg, I 950
23.2 deg, I 336
27.8 deg, I 609
29.4 deg, I 372
34.2 deg, I 785
36.0 deg, I 316
36.7 deg, I 486
49.0 deg, I 346